(1)
Simulated X-ray diffraction stick pattern
Compound: Pm5YHo8
Radiation: Cu Ka
Structure: a cell relaxed with GGA-PBE
Peak positions follow from Bragg's law for the DFT cell and can differ from measured ones.

The 10 most intense peaks (2θ = 10–90°), in order of falling intensity:
- d 2.647, 33.86°, I = 100
- d 3.036, 29.42°, I = 76
- d 3.051, 29.28°, I = 61
- d 3.174, 28.12°, I = 54
- d 2.575, 34.84°, I = 51
- d 2.601, 34.48°, I = 44
- d 2.816, 31.77°, I = 23
- d 1.471, 63.22°, I = 20
- d 1.668, 55.07°, I = 19
- d 1.608, 57.28°, I = 15

Crystal structure
a b c (Å): 9.601 9.601 10.088
angles (deg): 90.00 90.00 90.00
Space group I-4 (No. 82)
Inequivalent atoms, fractional coordinates:
Pm 0.000 0.000 0.000
Pm 0.110 0.214 0.422
Y 0.000 0.500 0.750
Ho 0.071 0.325 0.095
Ho 0.087 0.175 0.753

(2)
Simulated X-ray diffraction stick pattern
Compound: Pm2Y4Ho
Radiation: Cu Ka
Structure: a cell relaxed with GGA-PBE
Peak positions follow from Bragg's law for the DFT cell and can differ from measured ones.

The 10 most intense peaks (2θ = 10–90°), in order of falling intensity:
- d 2.701, 33.17°, I = 100
- d 2.886, 30.99°, I = 71
- d 2.857, 31.31°, I = 63
- d 2.904, 30.79°, I = 52
- d 3.021, 29.57°, I = 37
- d 2.772, 32.29°, I = 27
- d 2.598, 34.52°, I = 21
- d 2.256, 39.96°, I = 18
- d 1.871, 48.66°, I = 18
- d 1.490, 62.33°, I = 15

Crystal structure
a b c (Å): 6.106 8.435 9.576
angles (deg): 88.48 78.92 72.56
Space group P1 (No. 1)
Inequivalent atoms, fractional coordinates:
Pm 0.000 0.000 0.000
Pm 0.012 0.884 0.351
Pm 0.153 0.490 0.491
Pm 0.255 0.047 0.633
Y 0.288 0.150 0.268
Y 0.359 0.627 0.772
Y 0.462 0.210 0.907
Y 0.552 0.776 0.062
Y 0.593 0.694 0.417
Y 0.677 0.365 0.194
Y 0.716 0.261 0.547
Y 0.805 0.838 0.710
Ho 0.116 0.554 0.123
Ho 0.908 0.418 0.842

(3)
Simulated X-ray diffraction stick pattern
Compound: Pm8YHo5
Radiation: Cu Ka
Structure: a cell relaxed with GGA-PBE
Peak positions follow from Bragg's law for the DFT cell and can differ from measured ones.

The 10 most intense peaks (2θ = 10–90°), in order of falling intensity:
- d 2.683, 33.39°, I = 100
- d 3.055, 29.23°, I = 70
- d 3.073, 29.06°, I = 61
- d 3.227, 27.64°, I = 47
- d 2.593, 34.60°, I = 45
- d 2.626, 34.15°, I = 36
- d 1.493, 62.17°, I = 30
- d 2.844, 31.46°, I = 24
- d 1.683, 54.53°, I = 21
- d 1.131, 85.94°, I = 14

Crystal structure
a b c (Å): 9.661 9.661 10.271
angles (deg): 90.00 90.00 90.00
Space group I-4 (No. 82)
Inequivalent atoms, fractional coordinates:
Pm 0.069 0.326 0.403
Pm 0.089 0.176 0.747
Y 0.000 0.500 0.750
Ho 0.000 0.000 0.500
Ho 0.109 0.206 0.073

(4)
Simulated X-ray diffraction stick pattern
Compound: Pm2Y8Ho3
Radiation: Cu Ka
Structure: a cell relaxed with GGA-PBE
Peak positions follow from Bragg's law for the DFT cell and can differ from measured ones.

The 10 most intense peaks (2θ = 10–90°), in order of falling intensity:
- d 2.827, 31.65°, I = 100
- d 2.846, 31.43°, I = 70
- d 2.990, 29.88°, I = 70
- d 2.599, 34.51°, I = 64
- d 2.870, 31.17°, I = 43
- d 7.770, 11.39°, I = 38
- d 2.466, 36.44°, I = 33
- d 2.703, 33.14°, I = 31
- d 1.498, 61.94°, I = 24
- d 1.762, 51.91°, I = 21

Crystal structure
a b c (Å): 11.751 20.715 3.523
angles (deg): 90.00 90.00 90.00
Space group Pbam (No. 55)
Inequivalent atoms, fractional coordinates:
Pm 0.179 0.099 0.000
Y 0.046 0.572 0.000
Y 0.055 0.841 0.500
Y 0.129 0.286 0.000
Y 0.208 0.448 0.500
Ho 0.000 0.000 0.500
Ho 0.146 0.701 0.500

(5)
Simulated X-ray diffraction stick pattern
Compound: PmY7Ho3
Radiation: Cu Ka
Structure: a cell relaxed with GGA-PBE
Peak positions follow from Bragg's law for the DFT cell and can differ from measured ones.

The 10 most intense peaks (2θ = 10–90°), in order of falling intensity:
- d 2.815, 31.79°, I = 100
- d 2.732, 32.78°, I = 73
- d 2.795, 32.02°, I = 67
- d 2.780, 32.20°, I = 61
- d 4.704, 18.86°, I = 27
- d 1.595, 57.80°, I = 26
- d 1.961, 46.29°, I = 25
- d 2.769, 32.34°, I = 25
- d 1.470, 63.24°, I = 25
- d 4.787, 18.54°, I = 24

Crystal structure
a b c (Å): 6.927 5.560 9.978
angles (deg): 90.00 109.43 90.00
Space group P2/m (No. 10)
Inequivalent atoms, fractional coordinates:
Pm 0.000 0.000 0.000
Y 0.000 0.000 0.500
Y 0.148 0.500 0.789
Y 0.322 0.500 0.140
Y 0.424 0.000 0.331
Ho 0.277 0.500 0.497
Ho 0.500 0.000 0.000

(6)
Simulated X-ray diffraction stick pattern
Compound: PmY5Ho12
Radiation: Cu Ka
Structure: a cell relaxed with GGA-PBE
Peak positions follow from Bragg's law for the DFT cell and can differ from measured ones.

The 10 most intense peaks (2θ = 10–90°), in order of falling intensity:
- d 2.894, 30.90°, I = 100
- d 2.506, 35.83°, I = 50
- d 1.511, 61.34°, I = 42
- d 1.772, 51.57°, I = 36
- d 1.150, 84.20°, I = 17
- d 1.447, 64.39°, I = 12
- d 1.121, 86.87°, I = 8
- d 1.120, 86.96°, I = 8
- d 7.514, 11.78°, I = 5
- d 1.252, 75.98°, I = 4

Crystal structure
a b c (Å): 15.028 15.053 5.010
angles (deg): 90.00 90.00 90.00
Space group Cmmm (No. 65)
Inequivalent atoms, fractional coordinates:
Pm 0.000 0.000 0.000
Y 0.000 0.167 0.500
Y 0.000 0.334 0.000
Y 0.000 0.500 0.500
Ho 0.168 0.000 0.500
Ho 0.168 0.167 0.000
Ho 0.168 0.334 0.500
Ho 0.168 0.500 0.000

(7)
Simulated X-ray diffraction stick pattern
Compound: Pm2HoZn5
Radiation: Cu Ka
Structure: a cell relaxed with GGA-PBE
Peak positions follow from Bragg's law for the DFT cell and can differ from measured ones.

The 10 most intense peaks (2θ = 10–90°), in order of falling intensity:
- d 2.487, 36.11°, I = 100
- d 2.425, 37.06°, I = 52
- d 1.412, 66.19°, I = 33
- d 3.423, 26.03°, I = 25
- d 1.715, 53.42°, I = 18
- d 1.448, 64.31°, I = 12
- d 1.244, 76.62°, I = 7
- d 1.899, 47.90°, I = 7
- d 1.495, 62.07°, I = 6
- d 1.806, 50.54°, I = 6

Crystal structure
a b c (Å): 4.851 4.851 14.447
angles (deg): 90.00 90.00 90.00
Space group I4/mmm (No. 139)
Inequivalent atoms, fractional coordinates:
Pm 0.000 0.000 0.232
Ho 0.000 0.000 0.500
Zn 0.000 0.000 0.000
Zn 0.000 0.500 0.110

(8)
Simulated X-ray diffraction stick pattern
Compound: Pm3HoZn8
Radiation: Cu Ka
Structure: a cell relaxed with GGA-PBE
Peak positions follow from Bragg's law for the DFT cell and can differ from measured ones.

The 10 most intense peaks (2θ = 10–90°), in order of falling intensity:
- d 2.358, 38.17°, I = 100
- d 2.763, 32.40°, I = 75
- d 2.352, 38.27°, I = 34
- d 1.505, 61.63°, I = 32
- d 1.597, 57.74°, I = 22
- d 2.258, 39.92°, I = 19
- d 1.384, 67.72°, I = 16
- d 1.380, 67.95°, I = 16
- d 1.193, 80.52°, I = 11
- d 4.512, 19.67°, I = 9

Crystal structure
a b c (Å): 5.5343 5.5343 26.9956
angles (deg): 90.00 90.00 120.00
Space group R3m (No. 160, hexagonal axes)
Inequivalent atoms, fractional coordinates:
Pm 0.0000 0.0000 0.0000
Pm 0.0000 0.0000 0.1248
Pm 0.0000 0.0000 0.6256
Ho 0.0000 0.0000 0.5009
Zn 0.0000 0.0000 0.3130
Zn 0.0000 0.0000 0.8127
Zn 0.0018 0.5009 0.0637
Zn 0.1673 0.3346 0.8953